Entry 1:
Structure and calculated powder diffractogram of Ce4Pu2Ge3H2 (a cell relaxed with PBE; copper Kα).
Kinematic intensities with the Lorentz-polarization factor, no thermal factor.

The 10 most intense peaks (2θ from 10° to 90°), in order of rising 2θ:
Position (°2θ), intensity
27.21, 42
29.39, 100
32.09, 39
36.21, 79
40.64, 62
53.89, 22
56.12, 23
58.82, 21
67.11, 23
71.06, 22

Atomic structure:
Unit cell a=12.544 b=12.544 c=12.544 alpha=159.61 beta=159.61 gamma=28.99
Positions (direct):
Ce: 0.085 0.585 0.500
Ce: 0.415 0.915 0.500
Ce: 0.585 0.085 0.500
Ce: 0.915 0.415 0.500
Pu: 0.203 0.203 0.000
Pu: 0.797 0.797 0.000
Ge: 0.000 0.000 0.000
Ge: 0.325 0.325 0.000
Ge: 0.675 0.675 0.000
H: 0.445 0.445 0.000
H: 0.555 0.555 0.000

Entry 2:
Structure and calculated powder diffractogram of Ce2Ge2HRu2 (a cell relaxed with PBE; copper Kα).
Kinematic intensities with the Lorentz-polarization factor, no thermal factor.

The 10 most intense peaks (2θ from 10° to 90°), in order of rising 2θ:
Position (°2θ), intensity
12.24, 25
28.36, 40
30.44, 19
32.92, 55
37.90, 25
39.53, 100
43.59, 58
58.68, 18
63.34, 19
77.30, 27

Atomic structure:
Unit cell a=7.806 b=7.806 c=7.806 alpha=149.15 beta=149.15 gamma=44.20
Positions (direct):
Ce: 0.161 0.161 0.000
Ce: 0.839 0.839 0.000
Ge: 0.392 0.392 0.000
Ge: 0.608 0.608 0.000
H: 0.000 0.000 0.000
Ru: 0.000 0.500 0.500
Ru: 0.500 0.000 0.500

Entry 3:
Structure and calculated powder diffractogram of Ce3HfGe6 (a cell relaxed with PBE; copper Kα).
Kinematic intensities with the Lorentz-polarization factor, no thermal factor.

The 10 most intense peaks (2θ from 10° to 90°), in order of rising 2θ:
Position (°2θ), intensity
17.77, 21
27.92, 22
28.36, 16
33.45, 87
35.98, 66
36.14, 100
46.15, 18
48.20, 20
53.80, 21
58.01, 20

Atomic structure:
Unit cell a=7.657 b=7.657 c=7.657 alpha=96.94 beta=96.94 gamma=96.94
Positions (direct):
Ce: 0.182 0.750 0.318
Ce: 0.250 0.682 0.818
Ce: 0.318 0.182 0.750
Ce: 0.682 0.818 0.250
Ce: 0.750 0.318 0.182
Ce: 0.818 0.250 0.682
Hf: 0.000 0.000 0.000
Hf: 0.500 0.500 0.500
Ge: 0.011 0.089 0.366
Ge: 0.089 0.366 0.011
Ge: 0.134 0.411 0.489
Ge: 0.366 0.011 0.089
Ge: 0.411 0.489 0.134
Ge: 0.489 0.134 0.411
Ge: 0.511 0.866 0.589
Ge: 0.589 0.511 0.866
Ge: 0.634 0.989 0.911
Ge: 0.866 0.589 0.511
Ge: 0.911 0.634 0.989
Ge: 0.989 0.911 0.634

Entry 4:
Structure and calculated powder diffractogram of Ce7HgGe5 (a cell relaxed with PBE; copper Kα).
Kinematic intensities with the Lorentz-polarization factor, no thermal factor.

The 10 most intense peaks (2θ from 10° to 90°), in order of rising 2θ:
Position (°2θ), intensity
29.01, 100
29.30, 68
30.20, 60
33.85, 43
34.06, 99
34.32, 43
34.64, 49
35.36, 47
38.34, 81
60.12, 42

Atomic structure:
Unit cell a=7.979 b=7.979 c=7.979 alpha=135.09 beta=95.82 gamma=100.98
Positions (direct):
Ce: 0.000 0.000 0.000
Ce: 0.006 0.686 0.320
Ce: 0.367 0.686 0.680
Ce: 0.374 0.374 0.000
Ce: 0.480 0.146 0.334
Ce: 0.812 0.146 0.666
Ce: 0.853 0.353 0.500
Hg: 0.684 0.684 0.000
Ge: 0.165 0.200 0.519
Ge: 0.165 0.646 0.965
Ge: 0.408 0.908 0.500
Ge: 0.681 0.200 0.035
Ge: 0.681 0.646 0.481

Entry 5:
Structure and calculated powder diffractogram of Ce3HgGe (a cell relaxed with PBE; copper Kα).
Kinematic intensities with the Lorentz-polarization factor, no thermal factor.

The 10 most intense peaks (2θ from 10° to 90°), in order of rising 2θ:
Position (°2θ), intensity
29.83, 50
30.63, 15
32.80, 100
33.58, 19
37.83, 30
39.86, 17
42.85, 24
58.46, 19
65.16, 22
68.84, 22

Atomic structure:
Unit cell a=3.697 b=4.756 c=7.712 alpha=90.00 beta=90.00 gamma=90.00
Positions (direct):
Ce: 0.000 0.000 0.000
Ce: 0.000 0.500 0.313
Ce: 0.000 0.500 0.687
Hg: 0.500 0.000 0.500
Ge: 0.500 0.500 0.000

Entry 6:
Structure and calculated powder diffractogram of LaCeHgGe (a cell relaxed with PBE; copper Kα).
Kinematic intensities with the Lorentz-polarization factor, no thermal factor.

The 10 most intense peaks (2θ from 10° to 90°), in order of rising 2θ:
Position (°2θ), intensity
20.31, 11
33.47, 100
39.46, 7
48.06, 18
52.68, 3
59.83, 38
70.32, 12
74.06, 2
80.16, 16
89.70, 4

Atomic structure:
Unit cell a=5.355 b=5.355 c=5.355 alpha=60.00 beta=60.00 gamma=60.00
Positions (direct):
La: 0.000 0.000 0.000
Ce: 0.500 0.500 0.500
Hg: 0.750 0.750 0.750
Ge: 0.250 0.250 0.250